Computed XRD peak list of AcTb3Y8 for Cu Kα, 1.54184 Å, from a PBE-relaxed structure.
Neutral-atom scattering factors, no anomalous dispersion.

The 10 most intense peaks (10° ≤ 2θ ≤ 90°), by angle:
22.0°, rel. 56
30.9°, rel. 63
31.1°, rel. 100
31.9°, rel. 49
35.5°, rel. 25
45.0°, rel. 23
51.3°, rel. 24
55.0°, rel. 18
55.5°, rel. 19
64.8°, rel. 19

Structure:
Cell: 6.419 11.587 11.611 Å, 90.00 90.00 90.00°
Space group Immm (No. 71)
Asymmetric unit:
Ac1 0.000 0.000 0.000
Tb1 0.000 0.235 0.500
Tb2 0.000 0.500 0.000
Y1 0.000 0.252 0.172
Y2 0.243 0.000 0.265

Computed XRD peak list of Ac8TbY4 for Cu Kα, 1.54184 Å, from a PBE-relaxed structure.
Neutral-atom scattering factors, no anomalous dispersion.

The 10 most intense peaks (10° ≤ 2θ ≤ 90°), by angle:
21.3°, rel. 34
30.3°, rel. 100
37.4°, rel. 11
43.4°, rel. 19
48.8°, rel. 16
53.9°, rel. 40
63.1°, rel. 12
67.4°, rel. 7
71.6°, rel. 17
87.6°, rel. 20

Structure:
Cell: 8.338 8.338 8.338 Å, 90.00 90.00 90.00°
Space group Pm-3m (No. 221)
Asymmetric unit:
Ac1 0.242 0.242 0.242
Tb1 0.500 0.500 0.500
Y1 0.000 0.000 0.000
Y2 0.000 0.500 0.500

Computed XRD peak list of Ac2Tb4Y3 for Cu Kα, 1.54184 Å, from a PBE-relaxed structure.
Neutral-atom scattering factors, no anomalous dispersion.

The 10 most intense peaks (10° ≤ 2θ ≤ 90°), by angle:
29.9°, rel. 100
34.5°, rel. 17
34.5°, rel. 17
34.9°, rel. 17
49.6°, rel. 12
49.8°, rel. 18
58.9°, rel. 22
59.1°, rel. 7
59.4°, rel. 7
59.5°, rel. 7

Structure:
Cell: 11.544 5.203 10.954 Å, 90.00 107.89 90.00°
Space group C2/m (No. 12)
Asymmetric unit:
Ac1 0.167 0.000 0.222
Tb1 0.000 0.500 0.337
Tb2 0.166 0.000 0.888
Y1 0.000 0.500 0.000
Y2 0.164 0.000 0.555

Computed XRD peak list of AcTb6Y3 for Cu Kα, 1.54184 Å, from a PBE-relaxed structure.
Neutral-atom scattering factors, no anomalous dispersion.

The 10 most intense peaks (10° ≤ 2θ ≤ 90°), by angle:
21.7°, rel. 17
27.8°, rel. 36
29.5°, rel. 100
30.1°, rel. 50
31.2°, rel. 75
31.7°, rel. 17
31.8°, rel. 88
34.8°, rel. 16
36.0°, rel. 21
54.1°, rel. 18

Structure:
Cell: 9.632 15.568 9.028 Å, 90.00 90.00 90.00°
Space group Cmc2_1 (No. 36)
Asymmetric unit:
Ac1 0.000 0.223 0.000
Tb1 0.000 0.050 0.235
Tb2 0.000 0.288 0.374
Tb3 0.177 0.354 0.742
Tb4 0.249 0.442 0.414
Y1 0.000 0.453 0.103
Y2 0.173 0.142 0.584

Computed XRD peak list of AcTb7Y2 for Cu Kα, 1.54184 Å, from a PBE-relaxed structure.
Neutral-atom scattering factors, no anomalous dispersion.

The 10 most intense peaks (10° ≤ 2θ ≤ 90°), by angle:
30.3°, rel. 100
30.9°, rel. 100
32.5°, rel. 46
32.8°, rel. 52
40.7°, rel. 15
46.8°, rel. 40
56.6°, rel. 19
57.0°, rel. 18
57.8°, rel. 23
61.1°, rel. 29

Structure:
Cell: 5.512 7.132 16.973 Å, 90.00 90.00 90.00°
Space group Immm (No. 71)
Asymmetric unit:
Ac1 0.000 0.000 0.000
Tb1 0.000 0.000 0.203
Tb2 0.000 0.246 0.389
Tb3 0.000 0.500 0.000
Y1 0.000 0.500 0.200

Computed XRD peak list of Ac2Tb12Y5 for Cu Kα, 1.54184 Å, from a PBE-relaxed structure.
Neutral-atom scattering factors, no anomalous dispersion.

The 10 most intense peaks (10° ≤ 2θ ≤ 90°), by angle:
29.8°, rel. 21
31.2°, rel. 22
31.4°, rel. 100
32.7°, rel. 7
34.5°, rel. 5
43.7°, rel. 7
43.9°, rel. 7
46.1°, rel. 7
55.7°, rel. 6
55.9°, rel. 14

Structure:
Cell: 6.761 8.873 11.980 Å, 77.41 76.58 67.69°
Space group P-1 (No. 2)
Asymmetric unit:
Ac1 0.180 0.037 0.363
Tb1 0.124 0.498 0.243
Tb2 0.128 0.879 0.124
Tb3 0.244 0.176 0.619
Tb4 0.405 0.766 0.662
Tb5 0.416 0.376 0.766
Tb6 0.426 0.963 0.881
Y1 0.056 0.292 0.047
Y2 0.219 0.575 0.498
Y3 0.500 0.500 0.000

Computed XRD peak list of AcTb3Zn4 for Cu Kα, 1.54184 Å, from a PBE-relaxed structure.
Neutral-atom scattering factors, no anomalous dispersion.

The 10 most intense peaks (10° ≤ 2θ ≤ 90°), by angle:
24.2°, rel. 11
24.3°, rel. 21
34.6°, rel. 100
34.7°, rel. 51
42.7°, rel. 10
49.9°, rel. 18
61.8°, rel. 17
62.1°, rel. 36
72.9°, rel. 11
83.6°, rel. 16

Structure:
Cell: 10.345 7.368 5.173 Å, 90.00 90.00 90.00°
Space group Pmma (No. 51)
Asymmetric unit:
Ac1 0.000 0.000 0.000
Tb1 0.000 0.500 0.000
Tb2 0.250 0.000 0.499
Tb3 0.250 0.500 0.499
Zn1 0.000 0.271 0.500
Zn2 0.250 0.271 0.999

Computed XRD peak list of AcTbZn4 for Cu Kα, 1.54184 Å, from a PBE-relaxed structure.
Neutral-atom scattering factors, no anomalous dispersion.

The 10 most intense peaks (10° ≤ 2θ ≤ 90°), by angle:
27.0°, rel. 42
31.8°, rel. 100
35.7°, rel. 54
42.3°, rel. 37
46.0°, rel. 25
51.0°, rel. 15
56.5°, rel. 28
61.4°, rel. 12
64.3°, rel. 18
70.8°, rel. 20

Structure:
Cell: 4.270 4.270 15.574 Å, 90.00 90.00 90.00°
Space group I-4m2 (No. 119)
Asymmetric unit:
Ac1 0.000 0.000 0.000
Tb1 0.000 0.500 0.250
Zn1 0.000 0.000 0.411
Zn2 0.000 0.500 0.672

Computed XRD peak list of Ac6TlTc2 for Cu Kα, 1.54184 Å, from a PBE-relaxed structure.
Neutral-atom scattering factors, no anomalous dispersion.

The 10 most intense peaks (10° ≤ 2θ ≤ 90°), by angle:
25.2°, rel. 22
27.2°, rel. 30
28.9°, rel. 100
30.6°, rel. 31
31.1°, rel. 55
31.6°, rel. 40
32.0°, rel. 25
47.9°, rel. 23
50.4°, rel. 25
53.9°, rel. 27

Structure:
Cell: 10.338 10.632 11.244 Å, 90.00 90.00 90.00°
Space group Immm (No. 71)
Asymmetric unit:
Ac1 0.000 0.204 0.236
Ac2 0.184 0.500 0.169
Ac3 0.217 0.315 0.500
Tl1 0.000 0.000 0.000
Tl2 0.000 0.000 0.500
Tc1 0.000 0.331 0.000
Tc2 0.000 0.500 0.394

Computed XRD peak list of AcTm3Tc for Cu Kα, 1.54184 Å, from a PBE-relaxed structure.
Neutral-atom scattering factors, no anomalous dispersion.

The 10 most intense peaks (10° ≤ 2θ ≤ 90°), by angle:
10.4°, rel. 29
25.9°, rel. 35
29.9°, rel. 21
31.5°, rel. 100
31.7°, rel. 74
33.1°, rel. 19
37.5°, rel. 29
37.8°, rel. 24
43.4°, rel. 27
52.5°, rel. 20

Structure:
Cell: 4.173 8.691 8.541 Å, 90.00 90.00 90.00°
Space group Pmmn (No. 59, origin choice 2)
Asymmetric unit:
Ac1 0.250 0.250 0.049
Tm1 0.250 0.557 0.650
Tm2 0.250 0.750 0.305
Tc1 0.250 0.250 0.478

Computed XRD peak list of Ac4Te3 for Cu Kα, 1.54184 Å, from a PBE-relaxed structure.
Neutral-atom scattering factors, no anomalous dispersion.

The 10 most intense peaks (10° ≤ 2θ ≤ 90°), by angle:
23.9°, rel. 23
27.2°, rel. 100
33.5°, rel. 9
38.0°, rel. 35
39.7°, rel. 39
48.8°, rel. 21
56.2°, rel. 12
62.3°, rel. 13
64.7°, rel. 18
71.0°, rel. 12

Structure:
Cell: 4.5373 4.5373 47.4287 Å, 90.00 90.00 120.00°
Space group R-3m (No. 166, hexagonal axes)
Asymmetric unit:
Ac1 0.0000 0.0000 0.1220
Ac2 0.0000 0.0000 0.3684
Te1 0.0000 0.0000 0.2539
Te2 0.0000 0.0000 0.5000

Computed XRD peak list of AcThTe6 for Cu Kα, 1.54184 Å, from a PBE-relaxed structure.
Neutral-atom scattering factors, no anomalous dispersion.

The 10 most intense peaks (10° ≤ 2θ ≤ 90°), by angle:
13.0°, rel. 26
26.1°, rel. 43
28.2°, rel. 38
29.7°, rel. 100
32.5°, rel. 71
32.9°, rel. 26
36.4°, rel. 45
40.0°, rel. 69
48.4°, rel. 33
57.9°, rel. 30

Structure:
Cell: 4.507 4.506 27.291 Å, 90.00 90.00 90.00°
Space group Amm2 (No. 38)
Asymmetric unit:
Ac1 0.000 0.000 0.000
Th1 0.500 0.000 0.663
Te1 0.000 0.000 0.128
Te2 0.000 0.000 0.405
Te3 0.000 0.000 0.751
Te4 0.500 0.000 0.251
Te5 0.500 0.000 0.542
Te6 0.500 0.000 0.905

Number 4 is which compound? AcTb6Y3